Structure and simulated powder diffraction line list of BaCa2Te (a DFT-relaxed cell (GGA-PBE, Alexandria); Cu Kα (weighted mean of Kα1 and Kα2)).
Kinematic intensities with the Lorentz-polarization factor, no thermal factor.

Main lines, by angle (10° ≤ 2θ ≤ 80°):
Position (°2θ)  I/Imax
12.54  627
24.89  190
25.22  213
26.72  1000
32.27  496
32.54  487
41.08  130
41.39  147
46.68  165
53.36  118
54.61  133
66.40  157

Atomic structure:
```
data_BaCa2Te
_chemical_formula_sum 'Ba2 Ca4 Te2'
_symmetry_space_group_name_H-M 'A m m 2'
_symmetry_Int_Tables_number 38
_symmetry_space_group_name_Hall 'A 2 -2'
_cell_length_a 4.3945
_cell_length_b 5.5018
_cell_length_c 14.1225
_cell_angle_alpha 90.00
_cell_angle_beta 90.00
_cell_angle_gamma 90.00
loop_
_atom_site_label
_atom_site_type_symbol
_atom_site_fract_x
_atom_site_fract_y
_atom_site_fract_z
_atom_site_occupancy
Ba1 Ba 0.0000 0.0000 0.0000 1
Ca1 Ca 0.0000 0.0000 0.7154 1
Ca2 Ca 0.5000 0.0000 0.3224 1
Te1 Te 0.5000 0.0000 0.5502 1
```

Structure and simulated powder diffraction line list of SrMnAg (a DFT-relaxed cell (GGA-PBE, Alexandria); Cu Kα (weighted mean of Kα1 and Kα2)).
Kinematic intensities with the Lorentz-polarization factor, no thermal factor.

Main lines, by angle (10° ≤ 2θ ≤ 80°):
Position (°2θ)  I/Imax
20.54  91
21.99  80
30.27  1000
38.58  525
41.78  139
44.10  68
47.71  21
49.81  240
58.17  299
64.72  216
69.20  87
69.81  85

Atomic structure:
```
data_SrMnAg
_chemical_formula_sum 'Sr1 Mn1 Ag1'
_symmetry_space_group_name_H-M 'P -6 m 2'
_symmetry_Int_Tables_number 187
_symmetry_space_group_name_Hall 'P -6 2'
_cell_length_a 4.6668
_cell_length_b 4.6668
_cell_length_c 4.3238
_cell_angle_alpha 90.00
_cell_angle_beta 90.00
_cell_angle_gamma 120.00
loop_
_atom_site_label
_atom_site_type_symbol
_atom_site_fract_x
_atom_site_fract_y
_atom_site_fract_z
_atom_site_occupancy
Sr1 Sr 0.0000 0.0000 0.0000 1
Mn1 Mn 0.3333 0.6667 0.5000 1
Ag1 Ag 0.6667 0.3333 0.5000 1
```

Structure and simulated powder diffraction line list of Tb2MgTl9 (a DFT-relaxed cell (GGA-PBE, Alexandria); Cu Kα (weighted mean of Kα1 and Kα2)).
Kinematic intensities with the Lorentz-polarization factor, no thermal factor.

Main lines, by angle (10° ≤ 2θ ≤ 80°):
Position (°2θ)  I/Imax
18.56  41
19.57  15
26.37  36
32.44  1000
37.63  505
42.28  22
46.54  17
54.28  356
57.87  11
64.67  421
67.93  121
74.23  9

Atomic structure:
```
data_Tb2MgTl9
_chemical_formula_sum 'Tb2 Mg1 Tl9'
_symmetry_space_group_name_H-M 'P 4/m m m'
_symmetry_Int_Tables_number 123
_symmetry_space_group_name_Hall '-P 4 2'
_cell_length_a 4.7809
_cell_length_b 4.7809
_cell_length_c 14.3372
_cell_angle_alpha 90.00
_cell_angle_beta 90.00
_cell_angle_gamma 90.00
loop_
_atom_site_label
_atom_site_type_symbol
_atom_site_fract_x
_atom_site_fract_y
_atom_site_fract_z
_atom_site_occupancy
Tb1 Tb 0.0000 0.0000 0.1622 1
Mg1 Mg 0.0000 0.0000 0.5000 1
Tl1 Tl 0.0000 0.5000 0.0000 1
Tl2 Tl 0.0000 0.5000 0.3361 1
Tl3 Tl 0.5000 0.5000 0.1679 1
Tl4 Tl 0.5000 0.5000 0.5000 1
```